Structure and calculated powder XRD pattern of LaPrTl (the GGA-PBE geometry in Alexandria; a wavelength of 1.5418 Å).
Kinematic intensities with the Lorentz-polarization factor, no thermal factor.

Top 8 peaks for 15 to 90 degrees two-theta, by intensity:
- 30.01 deg, d = 2.978 Å, rel. 100
- 33.41 deg, d = 2.682 Å, rel. 78
- 45.52 deg, d = 1.993 Å, rel. 32
- 57.63 deg, d = 1.600 Å, rel. 32
- 51.02 deg, d = 1.790 Å, rel. 23
- 72.63 deg, d = 1.302 Å, rel. 16
- 59.72 deg, d = 1.548 Å, rel. 15
- 78.18 deg, d = 1.223 Å, rel. 13

```
3
Lattice="5.3637 0.0000 0.0000 -2.6819 4.6451 0.0000 0.0000 0.0000 3.8799" Properties=species:S:1:pos:R:3 pbc="T T T"
La 0.0000 0.0000 0.0000
Pr 2.6819 1.5484 2.3384
Tl 0.0000 3.0968 1.3182
```


Structure and calculated powder XRD pattern of La12Pr5Tl2 (the GGA-PBE geometry in Alexandria; a wavelength of 1.5418 Å).
Kinematic intensities with the Lorentz-polarization factor, no thermal factor.

Top 8 peaks for 15 to 90 degrees two-theta, by intensity:
- 30.67 deg, d = 2.915 Å, rel. 100
- 29.09 deg, d = 3.069 Å, rel. 77
- 31.69 deg, d = 2.824 Å, rel. 73
- 31.27 deg, d = 2.860 Å, rel. 66
- 30.51 deg, d = 2.930 Å, rel. 64
- 34.80 deg, d = 2.578 Å, rel. 57
- 31.54 deg, d = 2.837 Å, rel. 42
- 34.70 deg, d = 2.585 Å, rel. 36

```
19
Lattice="7.9566 -4.7674 0.0000 7.9566 4.7674 0.0000 -0.6516 0.0000 8.9035" Properties=species:S:1:pos:R:3 pbc="T T T"
La 0.6847 0.0000 2.8775
La 5.7407 2.9056 2.9313
La 5.1266 1.7700 6.7632
La 9.5210 2.9056 5.9722
La 6.6292 0.0000 0.9794
La 10.1350 1.7700 2.1403
La 5.1266 -1.7700 6.7632
La 8.6324 0.0000 7.9241
La 5.7407 -2.9056 2.9313
La 10.1350 -1.7700 2.1403
La 9.5210 -2.9056 5.9722
La 14.5769 0.0000 6.0260
Pr 3.0192 0.0000 0.1273
Pr 3.9717 0.0000 3.7229
Pr 7.6308 0.0000 4.4518
Pr 11.2899 0.0000 5.1806
Pr 12.2424 0.0000 8.7762
Tl 7.9566 3.0667 0.0000
Tl 7.9566 -3.0667 0.0000
```


Structure and calculated powder XRD pattern of La3Pr2Tl3 (the GGA-PBE geometry in Alexandria; a wavelength of 1.5418 Å).
Kinematic intensities with the Lorentz-polarization factor, no thermal factor.

Top 8 peaks for 15 to 90 degrees two-theta, by intensity:
- 30.81 deg, d = 2.903 Å, rel. 100
- 34.50 deg, d = 2.600 Å, rel. 19
- 33.12 deg, d = 2.705 Å, rel. 19
- 59.53 deg, d = 1.553 Å, rel. 16
- 39.28 deg, d = 2.294 Å, rel. 13
- 57.73 deg, d = 1.597 Å, rel. 13
- 48.58 deg, d = 1.874 Å, rel. 13
- 65.98 deg, d = 1.416 Å, rel. 12

```
8
Lattice="-2.2935 2.5997 10.8182 2.2935 -2.5997 10.8182 2.2935 2.5997 -10.8182" Properties=species:S:1:pos:R:3 pbc="T T T"
La 0.0000 0.0000 0.0000
La 2.2935 0.0000 8.2380
La 0.0000 2.5997 2.5802
Pr 0.0000 0.0000 5.0840
Pr 0.0000 0.0000 16.5524
Tl 2.2935 0.0000 2.7300
Tl 0.0000 0.0000 10.8182
Tl 0.0000 2.5997 8.0882
```


Structure and calculated powder XRD pattern of LaPr4Tl2 (the GGA-PBE geometry in Alexandria; a wavelength of 1.5418 Å).
Kinematic intensities with the Lorentz-polarization factor, no thermal factor.

Top 8 peaks for 15 to 90 degrees two-theta, by intensity:
- 30.06 deg, d = 2.973 Å, rel. 100
- 29.51 deg, d = 3.027 Å, rel. 92
- 32.42 deg, d = 2.761 Å, rel. 77
- 28.91 deg, d = 3.089 Å, rel. 74
- 35.10 deg, d = 2.556 Å, rel. 48
- 34.34 deg, d = 2.611 Å, rel. 46
- 32.72 deg, d = 2.737 Å, rel. 38
- 26.27 deg, d = 3.392 Å, rel. 38

```
14
Lattice="8.4374 0.0000 0.0000 0.0000 6.7840 0.0000 -4.0197 0.0000 8.1824" Properties=species:S:1:pos:R:3 pbc="T T T"
La -0.4896 1.6960 2.7916
La 4.9074 5.0880 5.3908
Pr 1.1376 5.0880 0.7734
Pr -0.2637 0.0361 6.3544
Pr -0.2637 3.3559 6.3544
Pr 1.9068 5.0880 4.1351
Pr 2.5109 1.6960 4.0473
Pr 4.6814 3.4280 1.8280
Pr 4.6814 6.7479 1.8280
Pr 3.2801 1.6960 7.4090
Tl -1.1388 5.0880 3.2197
Tl 1.9732 1.6960 0.5284
Tl 2.4445 5.0880 7.6540
Tl 5.5565 1.6960 4.9627
```


Structure and calculated powder XRD pattern of La5Pr3Tl3 (the GGA-PBE geometry in Alexandria; a wavelength of 1.5418 Å).
Kinematic intensities with the Lorentz-polarization factor, no thermal factor.

Top 8 peaks for 15 to 90 degrees two-theta, by intensity:
- 31.18 deg, d = 2.869 Å, rel. 100
- 33.18 deg, d = 2.700 Å, rel. 86
- 31.44 deg, d = 2.846 Å, rel. 86
- 30.03 deg, d = 2.976 Å, rel. 82
- 32.05 deg, d = 2.793 Å, rel. 74
- 33.70 deg, d = 2.660 Å, rel. 74
- 48.37 deg, d = 1.882 Å, rel. 34
- 59.70 deg, d = 1.549 Å, rel. 29

```
11
Lattice="3.7644 0.0000 0.0000 1.7268 9.6726 0.0000 1.7754 3.6655 10.4124" Properties=species:S:1:pos:R:3 pbc="T T T"
La 0.0000 0.0000 0.0000
La 1.7690 3.2280 6.3688
La 3.5755 9.2954 6.4657
La 3.5653 8.4173 2.9670
La 5.2336 7.1427 8.9394
Pr 1.7016 6.0727 0.6113
Pr 1.7885 2.6481 1.5609
Pr 3.6582 4.8567 3.6455
Tl 5.3980 11.0443 8.6234
Tl 5.4366 11.0774 4.0770
Tl 5.5244 6.6470 5.6453
```


Structure and calculated powder XRD pattern of LaPrTl3 (the GGA-PBE geometry in Alexandria; a wavelength of 1.5418 Å).
Kinematic intensities with the Lorentz-polarization factor, no thermal factor.

Top 8 peaks for 15 to 90 degrees two-theta, by intensity:
- 15.07 deg, d = 5.878 Å, rel. 100
- 30.42 deg, d = 2.939 Å, rel. 95
- 30.72 deg, d = 2.910 Å, rel. 80
- 44.99 deg, d = 2.015 Å, rel. 69
- 35.00 deg, d = 2.564 Å, rel. 56
- 38.39 deg, d = 2.345 Å, rel. 54
- 33.24 deg, d = 2.695 Å, rel. 53
- 29.40 deg, d = 3.038 Å, rel. 51

```
10
Lattice="-3.0378 3.0378 11.6041 3.0378 -3.0378 11.6041 3.0378 3.0378 -11.6041" Properties=species:S:1:pos:R:3 pbc="T T T"
La 0.0000 0.0000 0.0000
La 0.0000 3.0378 5.8020
Pr 0.0000 0.0000 9.7380
Pr 0.0000 0.0000 13.4701
Tl 3.0378 0.0000 0.2207
Tl 0.0000 1.5061 2.9725
Tl 3.0378 0.0000 11.3834
Tl -1.5317 3.0378 8.6316
Tl 1.5317 3.0378 8.6316
Tl 0.0000 4.5696 2.9725
```


Structure and calculated powder XRD pattern of LaPr7Tl2 (the GGA-PBE geometry in Alexandria; a wavelength of 1.5418 Å).
Kinematic intensities with the Lorentz-polarization factor, no thermal factor.

Top 8 peaks for 15 to 90 degrees two-theta, by intensity:
- 33.55 deg, d = 2.671 Å, rel. 100
- 33.15 deg, d = 2.703 Å, rel. 69
- 15.83 deg, d = 5.598 Å, rel. 67
- 31.97 deg, d = 2.799 Å, rel. 61
- 29.22 deg, d = 3.056 Å, rel. 61
- 27.35 deg, d = 3.261 Å, rel. 42
- 43.86 deg, d = 2.064 Å, rel. 40
- 18.81 deg, d = 4.717 Å, rel. 34

```
10
Lattice="4.7172 -8.0256 0.0000 4.7172 8.0256 0.0000 0.0000 0.0000 5.5982" Properties=species:S:1:pos:R:3 pbc="T T T"
La 0.0000 0.0000 0.0000
Pr 1.7074 1.9449 2.7991
Pr 4.7172 4.3673 0.0000
Pr 1.7074 -1.9449 2.7991
Pr 4.7172 0.0000 2.7991
Pr 7.7270 1.9449 2.7991
Pr 4.7172 -4.3673 0.0000
Pr 7.7270 -1.9449 2.7991
Tl 4.7172 3.1235 2.7991
Tl 4.7172 -3.1235 2.7991
```


Structure and calculated powder XRD pattern of La2Pr4Tl3 (the GGA-PBE geometry in Alexandria; a wavelength of 1.5418 Å).
Kinematic intensities with the Lorentz-polarization factor, no thermal factor.

Top 8 peaks for 15 to 90 degrees two-theta, by intensity:
- 30.54 deg, d = 2.927 Å, rel. 100
- 33.08 deg, d = 2.708 Å, rel. 64
- 31.98 deg, d = 2.798 Å, rel. 59
- 29.74 deg, d = 3.004 Å, rel. 58
- 37.94 deg, d = 2.372 Å, rel. 45
- 29.13 deg, d = 3.066 Å, rel. 35
- 19.06 deg, d = 4.656 Å, rel. 29
- 45.76 deg, d = 1.983 Å, rel. 24

```
18
Lattice="7.0550 0.0000 0.0000 0.0000 18.5953 0.0000 0.0000 0.0000 4.7433" Properties=species:S:1:pos:R:3 pbc="T T T"
La 1.2695 1.3279 0.0000
La 2.2580 10.6255 2.3716
La 4.7971 7.9698 2.3716
La 5.7855 17.2674 0.0000
Pr 0.6720 13.2744 0.0000
Pr 1.2301 7.2797 2.3716
Pr 2.2975 16.5773 0.0000
Pr 2.8555 3.9768 2.3716
Pr 4.1995 14.6185 2.3716
Pr 4.7576 2.0180 0.0000
Pr 5.8250 11.3156 2.3716
Pr 6.3830 5.3209 0.0000
Tl 0.0000 9.2976 0.0000
Tl 0.3642 15.4235 2.3716
Tl 3.1633 6.1259 0.0000
Tl 3.5275 0.0000 2.3716
Tl 3.8917 12.4694 0.0000
Tl 6.6908 3.1717 2.3716
```


Structure and calculated powder XRD pattern of LaPrTm2Tl4 (the GGA-PBE geometry in Alexandria; a wavelength of 1.5418 Å).
Kinematic intensities with the Lorentz-polarization factor, no thermal factor.

Top 8 peaks for 15 to 90 degrees two-theta, by intensity:
- 32.80 deg, d = 2.731 Å, rel. 100
- 58.58 deg, d = 1.576 Å, rel. 29
- 47.06 deg, d = 1.931 Å, rel. 18
- 78.29 deg, d = 1.221 Å, rel. 17
- 58.45 deg, d = 1.579 Å, rel. 10
- 68.68 deg, d = 1.367 Å, rel. 6
- 68.82 deg, d = 1.364 Å, rel. 6
- 87.56 deg, d = 1.114 Å, rel. 3

```
8
Lattice="2.7284 1.5752 8.9340 -2.7284 1.5752 8.9340 0.0000 -3.1505 8.9340" Properties=species:S:1:pos:R:3 pbc="T T T"
La 0.0000 0.0000 0.0000
Pr 0.0000 0.0000 13.4010
Tm 0.0000 0.0000 6.6989
Tm 0.0000 0.0000 20.1032
Tl 0.0000 0.0000 3.3627
Tl 0.0000 0.0000 10.0662
Tl 0.0000 0.0000 16.7359
Tl 0.0000 0.0000 23.4394
```


Structure and calculated powder XRD pattern of La4Pr2Tm (the GGA-PBE geometry in Alexandria; a wavelength of 1.5418 Å).
Kinematic intensities with the Lorentz-polarization factor, no thermal factor.

Top 8 peaks for 15 to 90 degrees two-theta, by intensity:
- 29.60 deg, d = 3.018 Å, rel. 100
- 34.30 deg, d = 2.614 Å, rel. 45
- 58.60 deg, d = 1.575 Å, rel. 34
- 29.69 deg, d = 3.009 Å, rel. 33
- 49.40 deg, d = 1.845 Å, rel. 32
- 34.41 deg, d = 2.606 Å, rel. 22
- 49.25 deg, d = 1.850 Å, rel. 16
- 58.47 deg, d = 1.579 Å, rel. 10

```
14
Lattice="6.4047 0.0000 0.0000 2.1107 7.9610 0.0000 0.0304 0.0057 9.7822" Properties=species:S:1:pos:R:3 pbc="T T T"
La 0.0000 0.0000 0.0000
La 1.0775 3.9883 4.9151
La 2.1604 1.0907 2.8256
La 3.2413 1.6996 9.0976
La 5.3187 6.2239 0.7142
La 4.3004 2.2833 5.6150
La 6.4034 6.7758 6.9923
La 7.4590 7.3514 3.5149
Pr 1.0964 0.5546 6.3060
Pr 2.1316 4.5253 1.4083
Pr 3.2242 5.0794 7.6879
Pr 5.3504 2.8434 2.1067
Tm 4.2620 5.6604 4.1993
Tm 6.4414 3.4009 8.4069
```


Structure and calculated powder XRD pattern of La16Pr7Tm6 (the GGA-PBE geometry in Alexandria; a wavelength of 1.5418 Å).
Kinematic intensities with the Lorentz-polarization factor, no thermal factor.

Top 8 peaks for 15 to 90 degrees two-theta, by intensity:
- 30.98 deg, d = 2.887 Å, rel. 100
- 55.11 deg, d = 1.667 Å, rel. 29
- 44.38 deg, d = 2.041 Å, rel. 15
- 89.92 deg, d = 1.091 Å, rel. 12
- 73.34 deg, d = 1.291 Å, rel. 8
- 64.57 deg, d = 1.443 Å, rel. 8
- 28.40 deg, d = 3.143 Å, rel. 8
- 26.75 deg, d = 3.333 Å, rel. 7

```
29
Lattice="0.0000 8.1646 8.1646 8.1646 0.0000 8.1646 8.1646 8.1646 0.0000" Properties=species:S:1:pos:R:3 pbc="T T T"
La 10.6281 5.7011 5.7011
La 2.0398 2.0398 2.0398
La 6.1249 6.1249 2.0398
La 6.1249 2.0398 6.1249
La 5.7011 5.7011 5.7011
La 10.6281 10.6281 5.7011
La 10.6281 5.7011 10.6281
La 14.2895 10.2044 10.2044
La 2.0398 6.1249 6.1249
La 5.7011 10.6281 5.7011
La 5.7011 5.7011 10.6281
La 10.6281 10.6281 10.6281
La 10.2044 14.2895 10.2044
La 10.2044 10.2044 14.2895
La 14.2895 14.2895 14.2895
La 5.7011 10.6281 10.6281
Pr 0.0000 0.0000 0.0000
Pr 4.0823 4.0823 0.0000
Pr 4.0823 0.0000 4.0823
Pr 8.1646 4.0823 4.0823
Pr 0.0000 4.0823 4.0823
Pr 4.0823 8.1646 4.0823
Pr 4.0823 4.0823 8.1646
Tm 8.1646 8.1646 4.2545
Tm 8.1646 4.2545 8.1646
Tm 12.0748 8.1646 8.1646
Tm 4.2545 8.1646 8.1646
Tm 8.1646 12.0748 8.1646
Tm 8.1646 8.1646 12.0748
```


Structure and calculated powder XRD pattern of La4PrTm2 (the GGA-PBE geometry in Alexandria; a wavelength of 1.5418 Å).
Kinematic intensities with the Lorentz-polarization factor, no thermal factor.

Top 8 peaks for 15 to 90 degrees two-theta, by intensity:
- 29.72 deg, d = 3.006 Å, rel. 100
- 31.00 deg, d = 2.885 Å, rel. 34
- 31.11 deg, d = 2.875 Å, rel. 34
- 36.44 deg, d = 2.465 Å, rel. 31
- 30.21 deg, d = 2.958 Å, rel. 30
- 31.64 deg, d = 2.828 Å, rel. 29
- 49.77 deg, d = 1.832 Å, rel. 21
- 54.20 deg, d = 1.692 Å, rel. 15

```
14
Lattice="3.2682 -12.3316 0.0000 3.2682 12.3316 0.0000 -3.2430 0.0000 6.0948" Properties=species:S:1:pos:R:3 pbc="T T T"
La 1.6467 11.8664 3.0474
La 0.0163 5.7292 4.5315
La 1.7609 4.8797 1.7036
La 1.7661 1.2653 2.8206
La 0.1446 -1.2653 5.8680
La 1.6378 -5.7292 1.4841
La 0.1394 -4.8797 4.7510
La 3.2682 -11.8664 0.0000
Pr 0.2288 9.2593 5.3317
Pr 1.8503 -9.2593 2.2843
Tm 1.4701 8.4463 1.9708
Tm -0.1336 2.3011 5.6244
Tm 1.4879 -2.3011 2.5770
Tm -0.1513 -8.4463 5.0182
```